No. 1
Starting from the GGA-PBE geometry in Alexandria, the PXRD pattern of CePrTm2Hg4 was simulated for a wavelength of 1.5418 Å.

Principal peaks in the range 10 to 80 degrees two-theta, by intensity:
d (Å)	Position (°2θ)	Rel. int.
2.667	33.61	100.0
1.540	60.09	38.2
1.886	48.26	18.3
1.333	70.65	11.9
3.771	23.59	1.9
1.687	54.40	0.9
2.177	41.47	0.7

abc: 5.3322 5.3322 26.1405
angles: 90.00 90.00 120.00
Space group R-3m (No. 166, hexagonal axes)
Symmetry-distinct sites (fractional):
Ce: 0.0000 0.0000 0.0000 x3
Pr: 0.0000 0.0000 0.5000 x3
Tm: 0.0000 0.0000 0.2506 x6
Hg: 0.0000 0.0000 0.1241 x6
Hg: 0.0000 0.0000 0.3742 x6

No. 2
Starting from the GGA-PBE geometry in Alexandria, the PXRD pattern of Ce2Hg2Pt15 was simulated for a wavelength of 1.5418 Å.

Principal peaks in the range 10 to 80 degrees two-theta, by intensity:
d (Å)	Position (°2θ)	Rel. int.
2.087	43.35	100.0
2.327	38.69	96.0
2.358	38.16	50.4
2.242	40.22	38.5
2.723	32.89	34.6
1.362	68.97	32.8
2.025	44.76	30.1
1.310	72.09	23.0
1.484	62.61	22.6
4.717	18.81	19.1

abc: 9.4335 9.4335 13.4493
angles: 90.00 90.00 120.00
Space group R-3m (No. 166, hexagonal axes)
Symmetry-distinct sites (fractional):
Ce: 0.0000 0.0000 0.1470 x6
Hg: 0.0000 0.0000 0.3958 x6
Pt: 0.0000 0.3238 0.5000 x18
Pt: 0.0000 0.5000 0.0000 x9
Pt: 0.0083 0.5041 0.6613 x18